Structure and calculated powder XRD pattern of CsUCrO6 (the GGA+U geometry in Alexandria; Cu Kα (weighted mean of Kα1 and Kα2)).
Kinematic intensities with the Lorentz-polarization factor, no thermal factor.

Structural model:
```
data_CsUCrO6
_cell_length_a 7.5926
_cell_length_b 8.4395
_cell_length_c 10.6435
_cell_angle_alpha 90.00
_cell_angle_beta 105.45
_cell_angle_gamma 90.00
_space_group_name_H-M_alt 'P 1 21/c 1'
_space_group_IT_number 14
_space_group_name_Hall '-P 2ybc'
loop_
_atom_site_label
_atom_site_type_symbol
_atom_site_fract_x
_atom_site_fract_y
_atom_site_fract_z
Cs1 Cs 0.0352 0.2404 0.3677
U1 U 0.4899 0.0172 0.1770
Cr1 Cr 0.3972 0.6432 0.9432
O1 O 0.1798 0.6323 0.9271
O2 O 0.2416 0.0531 0.1228
O3 O 0.2627 0.0191 0.7640
O4 O 0.4368 0.7113 0.7881
O5 O 0.4686 0.0594 0.3947
O6 O 0.4742 0.6571 0.5066
```

Principal peaks in the range 10 to 90 degrees two-theta, in order of rising 2θ:
| d [Å] | 2θ/deg | I_rel | (hkl) |
| --- | --- | --- | --- |
| 7.318 | 12.1 | 50 | 1 0 0 |
| 4.503 | 19.7 | 10 | 1 1 1 |
| 4.209 | 21.1 | 19 | 1 1 -2 |
| 3.657 | 24.3 | 100 | 2 0 0 |
| 3.432 | 26.0 | 18 | 1 1 2 |
| 3.212 | 27.8 | 32 | 1 1 -3 |
| 3.185 | 28.0 | 23 | 1 2 -2 |
| 3.169 | 28.2 | 21 | 0 1 3 |
| 2.756 | 32.5 | 11 | 2 1 -3 |
| 2.111 | 42.8 | 20 | 3 2 0 |
| 1.828 | 49.9 | 11 | 4 0 0 |
| 1.382 | 67.8 | 11 | 4 4 0 |